No. 1
Theoretical XRD peak list of PuGa5Co for Cu Kα (λ = 1.5418 Å), from a PBE-relaxed structure.
Peak positions follow from Bragg's law for the DFT cell and can differ from measured ones.

Most intense lines, 10 to 90 degrees two-theta, low angle first:
d [Å]	I/Imax
6.713	21
4.216	37
2.725	58
2.626	22
2.229	100
2.108	52
1.534	22
1.239	30

Cell and atoms:
Cell lengths 4.216, 4.216, 6.713 Å; angles 90.00, 90.00, 90.00 degrees
Space group P4/mmm (No. 123)
Symmetry-distinct sites (fractional):
Pu 0.000 0.000 0.000 (multiplicity 1)
Ga 0.000 0.500 0.305 (multiplicity 4)
Ga 0.500 0.500 0.000 (multiplicity 1)
Co 0.000 0.000 0.500 (multiplicity 1)

---

No. 2
Theoretical XRD peak list of Cs3Nb6SBr17 for Cu Kα (λ = 1.5418 Å), from a PBE-relaxed structure.
Peak positions follow from Bragg's law for the DFT cell and can differ from measured ones.

Most intense lines, 10 to 90 degrees two-theta, low angle first:
d [Å]	I/Imax
7.808	61
3.282	40
2.961	94
2.927	100
2.862	93
2.359	38
2.260	43
1.883	46

Cell and atoms:
Cell lengths 17.702, 19.621, 9.719 Å; angles 90.00, 90.35, 90.00 degrees
Space group C2/c (No. 15)
Symmetry-distinct sites (fractional):
Cs 0.000 0.047 0.250 (multiplicity 4)
Cs 0.222 0.447 0.163 (multiplicity 8)
Nb 0.016 0.319 0.522 (multiplicity 8)
Nb 0.072 0.189 0.643 (multiplicity 8)
Nb 0.126 0.322 0.759 (multiplicity 8)
S 0.000 0.277 0.750 (multiplicity 4)
Br 0.000 0.380 0.250 (multiplicity 4)
Br 0.060 0.430 0.886 (multiplicity 8)
Br 0.064 0.126 0.892 (multiplicity 8)
Br 0.080 0.220 0.383 (multiplicity 8)
Br 0.126 0.275 0.020 (multiplicity 8)
Br 0.129 0.064 0.558 (multiplicity 8)
Br 0.144 0.386 0.523 (multiplicity 8)
Br 0.214 0.222 0.681 (multiplicity 8)
Br 0.242 0.115 0.174 (multiplicity 8)

---

No. 3
Theoretical XRD peak list of Cr2S3 for Cu Kα (λ = 1.5418 Å), from a PBE-relaxed structure.
Peak positions follow from Bragg's law for the DFT cell and can differ from measured ones.

Most intense lines, 10 to 90 degrees two-theta, low angle first:
d [Å]	I/Imax
5.610	44
4.981	19
3.011	24
2.653	93
2.052	100
1.738	50
1.588	17
1.326	21

Cell and atoms:
Cell lengths 6.0216, 6.0216, 16.8291 Å; angles 90.00, 90.00, 120.00 degrees
Space group R-3 (No. 148, hexagonal axes)
Symmetry-distinct sites (fractional):
Cr 0.0000 0.0000 0.0000 (multiplicity 3)
Cr 0.0000 0.0000 0.1775 (multiplicity 6)
Cr 0.0000 0.0000 0.5000 (multiplicity 3)
S 0.0083 0.6860 0.0882 (multiplicity 18)

---

No. 4
Theoretical XRD peak list of Sr2CuH6 for Cu Kα (λ = 1.5418 Å), from a PBE-relaxed structure.
Peak positions follow from Bragg's law for the DFT cell and can differ from measured ones.

Most intense lines, 10 to 90 degrees two-theta, low angle first:
d [Å]	I/Imax
2.937	100
2.730	46
2.263	8
2.221	8
1.930	18
1.742	14
1.613	32
1.469	8

Cell and atoms:
Cell lengths 13.577, 5.456, 5.463 Å; angles 90.00, 90.00, 90.00 degrees
Space group Cmce (No. 64)
Symmetry-distinct sites (fractional):
Sr 0.145 0.000 0.000 (multiplicity 8)
Cu 0.000 0.000 0.500 (multiplicity 4)
H 0.000 0.238 0.262 (multiplicity 8)
H 0.116 0.000 0.500 (multiplicity 8)
H 0.250 0.250 0.250 (multiplicity 8)

---

No. 5
Theoretical XRD peak list of Ca4SeN4 for Cu Kα (λ = 1.5418 Å), from a PBE-relaxed structure.
Peak positions follow from Bragg's law for the DFT cell and can differ from measured ones.

Most intense lines, 10 to 90 degrees two-theta, low angle first:
d [Å]	I/Imax
3.691	55
2.989	60
2.832	44
2.731	83
2.576	100
2.137	33
2.017	22
1.825	33

Cell and atoms:
Cell lengths 12.968, 3.649, 13.470 Å; angles 90.00, 90.00, 90.00 degrees
Space group Pnma (No. 62)
Symmetry-distinct sites (fractional):
Ca 0.008 0.250 0.116 (multiplicity 4)
Ca 0.040 0.750 0.368 (multiplicity 4)
Ca 0.233 0.750 0.968 (multiplicity 4)
Ca 0.241 0.250 0.741 (multiplicity 4)
Se 0.134 0.750 0.588 (multiplicity 4)
N 0.093 0.250 0.968 (multiplicity 4)
N 0.110 0.250 0.251 (multiplicity 4)
N 0.132 0.250 0.877 (multiplicity 4)
N 0.167 0.250 0.334 (multiplicity 4)

---

No. 6
Theoretical XRD peak list of Sr2TbGaCu2O7 for Cu Kα (λ = 1.5418 Å), from a PBE-relaxed structure.
Peak positions follow from Bragg's law for the DFT cell and can differ from measured ones.

Most intense lines, 10 to 90 degrees two-theta, low angle first:
d [Å]	I/Imax
2.768	28
2.736	100
2.708	30
2.321	29
1.935	38
1.592	17
1.569	19
1.224	8

Cell and atoms:
Cell lengths 23.200, 5.536, 5.416 Å; angles 90.00, 90.00, 90.00 degrees
Space group Ima2 (No. 46)
Symmetry-distinct sites (fractional):
Sr 0.152 0.018 0.000 (multiplicity 8)
Tb 0.000 0.000 0.002 (multiplicity 4)
Ga 0.250 0.569 0.964 (multiplicity 4)
Cu 0.072 0.501 0.002 (multiplicity 8)
O 0.062 0.249 0.251 (multiplicity 8)
O 0.064 0.750 0.252 (multiplicity 8)
O 0.177 0.047 0.531 (multiplicity 8)
O 0.250 0.617 0.611 (multiplicity 4)

---

Copy entry 1 word for word.
Theoretical XRD peak list of PuGa5Co for Cu Kα (λ = 1.5418 Å), from a PBE-relaxed structure.
Peak positions follow from Bragg's law for the DFT cell and can differ from measured ones.

Most intense lines, 10 to 90 degrees two-theta, low angle first:
d [Å]	I/Imax
6.713	21
4.216	37
2.725	58
2.626	22
2.229	100
2.108	52
1.534	22
1.239	30

Cell and atoms:
Cell lengths 4.216, 4.216, 6.713 Å; angles 90.00, 90.00, 90.00 degrees
Space group P4/mmm (No. 123)
Symmetry-distinct sites (fractional):
Pu 0.000 0.000 0.000 (multiplicity 1)
Ga 0.000 0.500 0.305 (multiplicity 4)
Ga 0.500 0.500 0.000 (multiplicity 1)
Co 0.000 0.000 0.500 (multiplicity 1)

---

Copy entry 1 word for word.
Theoretical XRD peak list of PuGa5Co for Cu Kα (λ = 1.5418 Å), from a PBE-relaxed structure.
Peak positions follow from Bragg's law for the DFT cell and can differ from measured ones.

Most intense lines, 10 to 90 degrees two-theta, low angle first:
d [Å]	I/Imax
6.713	21
4.216	37
2.725	58
2.626	22
2.229	100
2.108	52
1.534	22
1.239	30

Cell and atoms:
Cell lengths 4.216, 4.216, 6.713 Å; angles 90.00, 90.00, 90.00 degrees
Space group P4/mmm (No. 123)
Symmetry-distinct sites (fractional):
Pu 0.000 0.000 0.000 (multiplicity 1)
Ga 0.000 0.500 0.305 (multiplicity 4)
Ga 0.500 0.500 0.000 (multiplicity 1)
Co 0.000 0.000 0.500 (multiplicity 1)